The following is a calculated powder X-ray diffraction pattern of K4MgMn4O8. It was derived from a cell relaxed with PBE+U, using Cu Kα (weighted mean of Kα1 and Kα2).
Lines closer than 0.1° are merged.

Atomic structure:
```
data_K4MgMn4O8
_chemical_formula_sum 'K4 Mg1 Mn4 O8'
_symmetry_space_group_name_H-M 'P 1'
_symmetry_Int_Tables_number 1
_symmetry_space_group_name_Hall 'P 1'
_cell_length_a 3.137
_cell_length_b 6.383
_cell_length_c 14.995
_cell_angle_alpha 99.20
_cell_angle_beta 95.94
_cell_angle_gamma 90.56
loop_
_atom_site_label
_atom_site_fract_x
_atom_site_fract_y
_atom_site_fract_z
_atom_site_occupancy
K1 0.000 0.000 0.000 1
K2 0.139 0.290 0.419 1
K3 0.372 0.013 0.774 1
K4 0.756 0.467 0.633 1
Mg1 0.543 0.419 0.200 1
Mn1 0.112 0.752 0.375 1
Mn2 0.412 0.535 0.853 1
Mn3 0.703 0.924 0.549 1
Mn4 0.993 0.499 0.019 1
O1 0.007 0.347 0.130 1
O2 0.189 0.713 0.527 1
O3 0.229 0.115 0.595 1
O4 0.486 0.687 0.998 1
O5 0.586 0.547 0.326 1
O6 0.630 0.956 0.406 1
O7 0.889 0.683 0.802 1
O8 0.923 0.332 0.881 1
```

Main lines, by angle (10° ≤ 2θ ≤ 90°):
two_theta	d_spacing	I_rel	hkl
12.03	7.359	100.0	0 0 2
14.06	6.299	32.2	0 1 0
14.37	6.162	44.8	0 1 -1
16.18	5.479	30.2	0 1 1
16.98	5.220	29.4	0 1 -2
28.00	3.187	27.4	0 2 -1
29.95	2.983	27.0	0 2 1
30.04	2.974	29.1	0 1 4
30.37	2.944	37.4	0 0 5
31.40	2.849	22.9	0 1 -5
32.34	2.768	72.5	1 0 -3
34.32	2.613	24.8	0 2 -4

The following is a calculated powder X-ray diffraction pattern of CaLa2FeO6. It was derived from a cell relaxed with PBE+U, using Cu Kα (weighted mean of Kα1 and Kα2).
Lines closer than 0.1° are merged.

Atomic structure:
```
data_CaLa2FeO6
_chemical_formula_sum 'Ca2 La4 Fe2 O12'
_symmetry_space_group_name_H-M 'P -1'
_symmetry_Int_Tables_number 2
_symmetry_space_group_name_Hall '-P 1'
_cell_length_a 5.728
_cell_length_b 5.803
_cell_length_c 9.861
_cell_angle_alpha 92.62
_cell_angle_beta 103.49
_cell_angle_gamma 118.19
loop_
_atom_site_label
_atom_site_fract_x
_atom_site_fract_y
_atom_site_fract_z
_atom_site_occupancy
Ca1 0.001 0.243 0.250 1
La1 0.258 0.845 0.120 1
La2 0.263 0.359 0.620 1
Fe1 0.500 0.000 0.500 1
Fe2 0.500 0.500 0.000 1
O1 0.160 0.529 0.889 1
O2 0.176 0.015 0.387 1
O3 0.291 0.589 0.434 1
O4 0.295 0.111 0.935 1
O5 0.364 0.963 0.660 1
O6 0.370 0.455 0.161 1
```

Main lines, by angle (10° ≤ 2θ ≤ 90°):
two_theta	d_spacing	I_rel	hkl
21.35	4.163	41.3	1 -1 1
21.48	4.136	41.2	0 1 1
30.07	2.972	100.0	1 0 2
30.19	2.960	97.2	1 1 -1
30.68	2.914	89.9	0 1 -3
30.86	2.898	93.3	1 -2 0
31.30	2.857	90.6	-2 1 1
31.96	2.800	86.4	-1 1 3
43.48	2.081	51.5	2 -2 2
43.77	2.068	49.5	0 2 2
45.31	2.002	48.0	2 0 -4
53.76	1.705	47.8	3 -1 1

The following is a calculated powder X-ray diffraction pattern of NaInMo2O8. It was derived from a cell relaxed with PBE+U, using Cu Kα (weighted mean of Kα1 and Kα2).
Lines closer than 0.1° are merged.

Atomic structure:
```
data_NaInMo2O8
_chemical_formula_sum 'Na4 In4 Mo8 O32'
_symmetry_space_group_name_H-M 'P -1'
_symmetry_Int_Tables_number 2
_symmetry_space_group_name_Hall '-P 1'
_cell_length_a 7.285
_cell_length_b 7.291
_cell_length_c 15.064
_cell_angle_alpha 92.01
_cell_angle_beta 92.02
_cell_angle_gamma 99.11
loop_
_atom_site_label
_atom_site_fract_x
_atom_site_fract_y
_atom_site_fract_z
_atom_site_occupancy
Na1 0.018 0.182 0.374 1
Na2 0.463 0.805 0.880 1
In1 0.176 0.807 0.111 1
In2 0.314 0.221 0.586 1
Mo1 0.029 0.263 0.117 1
Mo2 0.165 0.731 0.361 1
Mo3 0.343 0.268 0.849 1
Mo4 0.452 0.747 0.614 1
O1 0.012 0.175 0.575 1
O2 0.082 0.787 0.783 1
O3 0.103 0.493 0.343 1
O4 0.119 0.180 0.891 1
O5 0.138 0.504 0.118 1
O6 0.159 0.781 0.968 1
O7 0.184 0.839 0.255 1
O8 0.204 0.113 0.102 1
O9 0.298 0.920 0.603 1
O10 0.326 0.257 0.730 1
O11 0.327 0.195 0.442 1
O12 0.327 0.520 0.579 1
O13 0.388 0.772 0.421 1
O14 0.407 0.496 0.889 1
O15 0.479 0.865 0.110 1
O16 0.484 0.260 0.274 1
```

Main lines, by angle (10° ≤ 2θ ≤ 90°):
two_theta	d_spacing	I_rel	hkl
13.43	6.593	31.6	1 0 -1
13.87	6.385	34.0	1 0 1
22.78	3.904	19.9	1 1 2
23.66	3.760	100.0	0 0 4
24.75	3.597	96.5	0 2 0
25.24	3.529	33.6	2 0 -1
25.72	3.463	19.9	2 0 1
26.44	3.371	40.6	-2 1 1
26.67	3.342	27.0	2 -1 1
31.22	2.865	21.8	2 0 3
31.80	2.814	20.6	2 -1 3
33.77	2.654	22.7	0 2 -4

The following is a calculated powder X-ray diffraction pattern of NdFe3O6. It was derived from a cell relaxed with PBE+U, using Cu Kα (weighted mean of Kα1 and Kα2).
Lines closer than 0.1° are merged.

Atomic structure:
```
data_NdFe3O6
_chemical_formula_sum 'Nd3 Fe9 O18'
_symmetry_space_group_name_H-M 'R 3'
_symmetry_Int_Tables_number 146
_symmetry_space_group_name_Hall 'R 3'
_cell_length_a 5.3631
_cell_length_b 5.3631
_cell_length_c 14.0483
_cell_angle_alpha 90.00
_cell_angle_beta 90.00
_cell_angle_gamma 120.00
loop_
_atom_site_label
_atom_site_fract_x
_atom_site_fract_y
_atom_site_fract_z
_atom_site_occupancy
Nd1 0.0000 0.0000 0.0000 1
Fe1 0.0000 0.0000 0.2618 1
Fe2 0.0000 0.0000 0.4704 1
Fe3 0.0000 0.0000 0.7728 1
O1 0.0102 0.3609 0.5286 1
O2 0.0225 0.5943 0.0340 1
```

Main lines, by angle (10° ≤ 2θ ≤ 90°):
two_theta	d_spacing	I_rel	hkl
20.14	4.410	26.0	1 0 1
22.96	3.874	25.3	0 1 2
31.95	2.801	100.0	1 0 4
33.42	2.682	87.8	1 1 0
37.41	2.404	15.2	0 1 5
38.69	2.327	20.6	1 1 3
46.90	1.937	45.2	0 2 4
51.84	1.764	18.4	2 -1 6
55.98	1.643	13.2	0 1 8
58.81	1.570	37.5	3 -1 4
59.73	1.548	27.8	3 0 0
79.20	1.209	12.9	1 3 4

The following is a calculated powder X-ray diffraction pattern of LiCo2C2O7. It was derived from a cell relaxed with PBE+U, using Cu Kα (weighted mean of Kα1 and Kα2).
Lines closer than 0.1° are merged.

Atomic structure:
```
data_LiCo2C2O7
_chemical_formula_sum 'Li6 Co12 C12 O42'
_symmetry_space_group_name_H-M 'C 1 2 1'
_symmetry_Int_Tables_number 5
_symmetry_space_group_name_Hall 'C 2y'
_cell_length_a 14.246
_cell_length_b 8.312
_cell_length_c 7.886
_cell_angle_alpha 90.00
_cell_angle_beta 91.21
_cell_angle_gamma 90.00
loop_
_atom_site_label
_atom_site_fract_x
_atom_site_fract_y
_atom_site_fract_z
_atom_site_occupancy
Li1 0.000 0.000 0.000 1
Li2 0.179 0.470 0.001 1
Co1 0.003 0.648 0.226 1
Co2 0.162 0.151 0.761 1
Co3 0.174 0.146 0.310 1
C1 0.001 0.314 0.211 1
C2 0.169 0.822 0.794 1
C3 0.170 0.818 0.208 1
O1 0.000 0.677 0.000 1
O2 0.042 0.433 0.286 1
O3 0.044 0.176 0.199 1
O4 0.084 0.327 0.853 1
O5 0.092 0.822 0.285 1
O6 0.120 0.943 0.849 1
O7 0.130 0.697 0.727 1
O8 0.167 0.169 0.526 1
O9 0.205 0.685 0.150 1
O10 0.217 0.953 0.188 1
O11 0.239 0.328 0.193 1
```

Main lines, by angle (10° ≤ 2θ ≤ 90°):
two_theta	d_spacing	I_rel	hkl
11.22	7.884	12.0	0 0 1
21.38	4.156	46.5	0 2 0
21.56	4.122	92.3	3 1 0
22.56	3.942	100.0	0 0 2
31.10	2.876	20.6	3 1 -2
31.27	2.860	18.2	0 2 2
31.69	2.823	17.2	3 1 2
37.59	2.393	26.8	3 3 0
37.90	2.374	12.8	6 0 0
43.93	2.061	22.0	6 2 0
44.06	2.055	15.7	3 3 -2
49.56	1.839	16.2	0 4 2

The following is a calculated powder X-ray diffraction pattern of La4MgGa2Fe2O12. It was derived from a cell relaxed with PBE+U, using Cu Kα (weighted mean of Kα1 and Kα2).
Lines closer than 0.1° are merged.

Atomic structure:
```
data_La4MgGa2Fe2O12
_chemical_formula_sum 'La4 Mg1 Ga2 Fe2 O12'
_symmetry_space_group_name_H-M 'P 1'
_symmetry_Int_Tables_number 1
_symmetry_space_group_name_Hall 'P 1'
_cell_length_a 5.699
_cell_length_b 6.047
_cell_length_c 8.445
_cell_angle_alpha 88.56
_cell_angle_beta 84.19
_cell_angle_gamma 86.07
loop_
_atom_site_label
_atom_site_fract_x
_atom_site_fract_y
_atom_site_fract_z
_atom_site_occupancy
La1 0.000 0.000 0.000 1
La2 0.064 0.182 0.570 1
La3 0.506 0.671 0.554 1
La4 0.596 0.546 0.067 1
Mg1 0.164 0.349 0.193 1
Ga1 0.006 0.607 0.760 1
Ga2 0.585 0.107 0.340 1
Fe1 0.035 0.740 0.334 1
Fe2 0.520 0.138 0.799 1
O1 0.173 0.655 0.105 1
O2 0.205 0.885 0.744 1
O3 0.283 0.934 0.393 1
O4 0.294 0.423 0.721 1
O5 0.368 0.182 0.026 1
O6 0.382 0.379 0.356 1
O7 0.661 0.073 0.560 1
O8 0.724 0.828 0.247 1
O9 0.745 0.787 0.862 1
O10 0.837 0.325 0.844 1
O11 0.842 0.266 0.219 1
O12 0.926 0.588 0.542 1
```

Main lines, by angle (10° ≤ 2θ ≤ 90°):
two_theta	d_spacing	I_rel	hkl
18.01	4.926	27.3	1 0 1
28.46	3.136	63.6	1 1 2
29.62	3.016	40.6	0 2 0
29.95	2.983	98.1	1 -1 2
31.16	2.870	100.0	1 1 -2
31.33	2.855	43.4	0 2 1
31.65	2.827	84.1	2 0 0
31.80	2.814	48.7	-1 1 2
36.81	2.442	32.2	1 1 3
40.39	2.233	34.1	-1 1 3
43.07	2.100	29.5	0 0 4
57.16	1.611	33.0	2 0 -4